The following is a theoretical powder XRD pattern of BaLa2Cl8. It was derived from a structure optimized by DFT (GGA-PBE), using Cu Kα X-rays.

Top 8 peaks for 2θ from 10° to 90°, sorted by position:
2theta, intensity, index
18.68, 100, 1 2 1
21.28, 27, 1 3 0
23.07, 53, 3 0 1
30.97, 30, 3 1 2
34.64, 30, 1 5 0
35.81, 26, 3 4 1
36.59, 25, 3 3 2
37.01, 26, 1 2 3

Cell and atoms:
```
data_BaLa2Cl8
_chemical_formula_sum 'Ba4 La8 Cl32'
_space_group_name_H-M_alt 'I -4'
_space_group_IT_number 82
_cell_length_a 13.206
_cell_length_b 13.206
_cell_length_c 7.993
_cell_angle_alpha 90.00
_cell_angle_beta 90.00
_cell_angle_gamma 90.00
loop_
_space_group_symop_operation_xyz
'x,y,z'
'y,-x,-z'
'-x,-y,z'
'-y,x,-z'
'x+1/2,y+1/2,z+1/2'
'y+1/2,-x+1/2,-z+1/2'
'-x+1/2,-y+1/2,z+1/2'
'-y+1/2,x+1/2,-z+1/2'
loop_
_atom_site_label
_atom_site_fract_x
_atom_site_fract_y
_atom_site_fract_z
Ba1 0.000 0.000 0.000
Ba2 0.000 0.500 0.250
La1 0.137 0.290 0.698
Cl1 0.027 0.738 0.940
Cl2 0.046 0.641 0.543
Cl3 0.089 0.891 0.307
Cl4 0.173 0.256 0.342
```

---

The following is a theoretical powder XRD pattern of FeCoRh4S8. It was derived from a structure optimized by DFT (GGA-PBE), using Cu Kα X-rays.

Top 8 peaks for 2θ from 10° to 90°, sorted by position:
2theta, intensity, index
15.81, 34, 1 1 1
25.96, 13, 2 2 0
30.54, 100, 3 1 1
37.04, 53, 4 0 0
48.74, 38, 5 1 1
53.39, 72, 4 4 0
62.76, 12, 5 3 3
75.17, 20, 5 5 3

Cell and atoms:
```
data_FeCoRh4S8
_chemical_formula_sum 'Fe4 Co4 Rh16 S32'
_space_group_name_H-M_alt 'F -4 3 m'
_space_group_IT_number 216
_space_group_name_Hall 'F -4 2 3'
_cell_length_a 9.708
_cell_length_b 9.708
_cell_length_c 9.708
_cell_angle_alpha 90.00
_cell_angle_beta 90.00
_cell_angle_gamma 90.00
loop_
_atom_site_label
_atom_site_fract_x
_atom_site_fract_y
_atom_site_fract_z
Fe1 0.000 0.000 0.000
Co1 0.250 0.250 0.250
Rh1 0.124 0.124 0.624
S1 0.122 0.122 0.378
S2 0.128 0.128 0.872
```

---

The following is a theoretical powder XRD pattern of ErH2. It was derived from a structure optimized by DFT (GGA-PBE), using Cu Kα X-rays.

Top 8 peaks for 2θ from 10° to 90°, sorted by position:
2theta, intensity, index
28.26, 32, 0 0 2
29.17, 23, 1 0 0
32.50, 100, 1 0 1
41.06, 18, 1 0 2
51.71, 19, 1 1 0
52.77, 27, 1 0 3
59.97, 24, 1 1 2
62.41, 16, 2 0 1

Cell and atoms:
```
data_ErH2
_chemical_formula_sum 'Er2 H4'
_space_group_name_H-M_alt 'P 63/m m c'
_space_group_IT_number 194
_space_group_name_Hall '-P 6c 2c'
_cell_length_a 3.5356
_cell_length_b 3.5356
_cell_length_c 6.3162
_cell_angle_alpha 90.00
_cell_angle_beta 90.00
_cell_angle_gamma 120.00
loop_
_atom_site_label
_atom_site_fract_x
_atom_site_fract_y
_atom_site_fract_z
Er1 0.3333 0.6667 0.2500
H1 0.3333 0.6667 0.5939
```

---

The following is a theoretical powder XRD pattern of Gd2CuAu. It was derived from a structure optimized by DFT (GGA-PBE), using Cu Kα X-rays.

Top 8 peaks for 2θ from 10° to 90°, sorted by position:
2theta, intensity, index
21.45, 11, 1 1 1
35.39, 100, 2 2 0
41.76, 6, 3 1 1
50.91, 18, 4 0 0
55.86, 3, 3 3 1
63.53, 36, 4 2 2
74.87, 11, 4 4 0
85.62, 16, 6 2 0

Cell and atoms:
```
data_Gd2CuAu
_chemical_formula_sum 'Gd8 Cu4 Au4'
_space_group_name_H-M_alt 'F m -3 m'
_space_group_IT_number 225
_space_group_name_Hall '-F 4 2 3'
_cell_length_a 7.174
_cell_length_b 7.174
_cell_length_c 7.174
_cell_angle_alpha 90.00
_cell_angle_beta 90.00
_cell_angle_gamma 90.00
loop_
_atom_site_label
_atom_site_fract_x
_atom_site_fract_y
_atom_site_fract_z
Gd1 0.250 0.250 0.250
Cu1 0.000 0.000 0.000
Au1 0.000 0.000 0.500
```

---

What did the second record say?
The following is a theoretical powder XRD pattern of FeCoRh4S8. It was derived from a structure optimized by DFT (GGA-PBE), using Cu Kα X-rays.

Top 8 peaks for 2θ from 10° to 90°, sorted by position:
2theta, intensity, index
15.81, 34, 1 1 1
25.96, 13, 2 2 0
30.54, 100, 3 1 1
37.04, 53, 4 0 0
48.74, 38, 5 1 1
53.39, 72, 4 4 0
62.76, 12, 5 3 3
75.17, 20, 5 5 3

Cell and atoms:
```
data_FeCoRh4S8
_chemical_formula_sum 'Fe4 Co4 Rh16 S32'
_space_group_name_H-M_alt 'F -4 3 m'
_space_group_IT_number 216
_space_group_name_Hall 'F -4 2 3'
_cell_length_a 9.708
_cell_length_b 9.708
_cell_length_c 9.708
_cell_angle_alpha 90.00
_cell_angle_beta 90.00
_cell_angle_gamma 90.00
loop_
_atom_site_label
_atom_site_fract_x
_atom_site_fract_y
_atom_site_fract_z
Fe1 0.000 0.000 0.000
Co1 0.250 0.250 0.250
Rh1 0.124 0.124 0.624
S1 0.122 0.122 0.378
S2 0.128 0.128 0.872
```

---

- Number 3 is which compound?
  ErH2

---

Copy entry 2 word for word.
The following is a theoretical powder XRD pattern of FeCoRh4S8. It was derived from a structure optimized by DFT (GGA-PBE), using Cu Kα X-rays.

Top 8 peaks for 2θ from 10° to 90°, sorted by position:
2theta, intensity, index
15.81, 34, 1 1 1
25.96, 13, 2 2 0
30.54, 100, 3 1 1
37.04, 53, 4 0 0
48.74, 38, 5 1 1
53.39, 72, 4 4 0
62.76, 12, 5 3 3
75.17, 20, 5 5 3

Cell and atoms:
```
data_FeCoRh4S8
_chemical_formula_sum 'Fe4 Co4 Rh16 S32'
_space_group_name_H-M_alt 'F -4 3 m'
_space_group_IT_number 216
_space_group_name_Hall 'F -4 2 3'
_cell_length_a 9.708
_cell_length_b 9.708
_cell_length_c 9.708
_cell_angle_alpha 90.00
_cell_angle_beta 90.00
_cell_angle_gamma 90.00
loop_
_atom_site_label
_atom_site_fract_x
_atom_site_fract_y
_atom_site_fract_z
Fe1 0.000 0.000 0.000
Co1 0.250 0.250 0.250
Rh1 0.124 0.124 0.624
S1 0.122 0.122 0.378
S2 0.128 0.128 0.872
```